[1]
Computed powder X-ray diffraction pattern of Tb8Ho5Tm for copper Kα, from a PBE-relaxed structure.

Top 8 peaks for 2θ = 15–90°, sorted by position:
- hkl 1 0 3, d = 3.157 Å, 2θ 28.3, rel. 62
- hkl 3 0 1, d = 3.026 Å, 2θ 29.5, rel. 70
- hkl 1 3 0, d = 3.011 Å, 2θ 29.7, rel. 79
- hkl 2 2 2, d = 2.796 Å, 2θ 32.0, rel. 23
- hkl 2 1 3, d = 2.631 Å, 2θ 34.1, rel. 100
- hkl 1 3 2, d = 2.582 Å, 2θ 34.7, rel. 49
- hkl 3 2 1, d = 2.554 Å, 2θ 35.1, rel. 55
- hkl 1 3 6, d = 1.463 Å, 2θ 63.6, rel. 22

Atomic structure:
Cell: 9.5211 9.5211 10.0402 Å, 90.00 90.00 90.00°
Space group I-4 (No. 82)
Asymmetric unit:
Tb: 0.0698 0.1754 0.1557 [8 per cell]
Tb: 0.0885 0.3251 0.4973 [8 per cell]
Ho: 0.0000 0.5000 0.2500 [2 per cell]
Ho: 0.1095 0.2908 0.8252 [8 per cell]
Tm: 0.0000 0.0000 0.5000 [2 per cell]



[2]
Computed powder X-ray diffraction pattern of NaCd4Cu for copper Kα, from a PBE-relaxed structure.

Top 8 peaks for 2θ = 15–90°, sorted by position:
- hkl 2 1 1, d = 2.730 Å, 2θ 32.8, rel. 100
- hkl 1 1 2, d = 2.613 Å, 2θ 34.3, rel. 47
- hkl 2 1 2, d = 2.332 Å, 2θ 38.6, rel. 73
- hkl 3 1 1, d = 2.255 Å, 2θ 40.0, rel. 50
- hkl 4 0 0, d = 2.241 Å, 2θ 40.2, rel. 55
- hkl 0 2 0, d = 1.921 Å, 2θ 47.3, rel. 28
- hkl 5 1 2, d = 1.498 Å, 2θ 61.9, rel. 27
- hkl 4 2 0, d = 1.459 Å, 2θ 63.8, rel. 26

Atomic structure:
Cell: 8.9516 3.8426 7.7721 Å, 90.00 90.00 90.00°
Space group Pmma (No. 51)
Asymmetric unit:
Na: 0.2500 0.0000 0.0864 [2 per cell]
Cd: 0.0000 0.0000 0.5000 [2 per cell]
Cd: 0.0546 0.5000 0.8184 [4 per cell]
Cd: 0.2500 0.5000 0.4184 [2 per cell]
Cu: 0.2500 0.0000 0.6931 [2 per cell]



[3]
Computed powder X-ray diffraction pattern of CuIrRh6 for copper Kα, from a PBE-relaxed structure.

Top 8 peaks for 2θ = 15–90°, sorted by position:
- hkl 1 1 2, d = 2.212 Å, 2θ 40.8, rel. 100
- hkl 2 0 -4, d = 1.922 Å, 2θ 47.3, rel. 16
- hkl 0 2 0, d = 1.915 Å, 2θ 47.5, rel. 16
- hkl 4 0 0, d = 1.910 Å, 2θ 47.6, rel. 16
- hkl 2 2 -4, d = 1.356 Å, 2θ 69.3, rel. 15
- hkl 5 1 -6, d = 1.158 Å, 2θ 83.5, rel. 12
- hkl 1 3 2, d = 1.155 Å, 2θ 83.8, rel. 12
- hkl 5 1 2, d = 1.153 Å, 2θ 84.0, rel. 12

Atomic structure:
Cell: 8.5508 3.8297 7.6885 Å, 90.00 116.69 90.00°
Space group C2/m (No. 12)
Asymmetric unit:
Cu: 0.0000 0.0000 0.0000 [2 per cell]
Ir: 0.0000 0.0000 0.5000 [2 per cell]
Rh: 0.0015 0.5000 0.7466 [4 per cell]
Rh: 0.2469 0.0000 0.3721 [4 per cell]
Rh: 0.2476 0.5000 0.1220 [4 per cell]



[4]
Computed powder X-ray diffraction pattern of AcSmBi2O6 for copper Kα, from a PBE-relaxed structure.

Top 8 peaks for 2θ = 15–90°, sorted by position:
- hkl 0 1 2, d = 4.439 Å, 2θ 20.0, rel. 7
- hkl 1 1 0, d = 3.138 Å, 2θ 28.4, rel. 100
- hkl 0 2 4, d = 2.219 Å, 2θ 40.7, rel. 21
- hkl 1 1 6, d = 1.987 Å, 2θ 45.7, rel. 12
- hkl 3 0 0, d = 1.811 Å, 2θ 50.4, rel. 37
- hkl 2 2 0, d = 1.567 Å, 2θ 58.9, rel. 7
- hkl 4 -3 4, d = 1.403 Å, 2θ 66.7, rel. 9
- hkl 1 4 0, d = 1.185 Å, 2θ 81.2, rel. 13

Atomic structure:
Cell: 6.2692 6.2692 15.4161 Å, 90.00 90.00 120.00°
Space group R3 (No. 146, hexagonal axes)
Asymmetric unit:
Ac: 0.0000 0.0000 0.0000 [3 per cell]
Sm: 0.0000 0.0000 0.5083 [3 per cell]
Bi: 0.0000 0.0000 0.2223 [3 per cell]
Bi: 0.0000 0.0000 0.7239 [3 per cell]
O: 0.0172 0.2890 0.1239 [9 per cell]
O: 0.0721 0.6777 0.2895 [9 per cell]



Copy entry 3 word for word.
Computed powder X-ray diffraction pattern of CuIrRh6 for copper Kα, from a PBE-relaxed structure.

Top 8 peaks for 2θ = 15–90°, sorted by position:
- hkl 1 1 2, d = 2.212 Å, 2θ 40.8, rel. 100
- hkl 2 0 -4, d = 1.922 Å, 2θ 47.3, rel. 16
- hkl 0 2 0, d = 1.915 Å, 2θ 47.5, rel. 16
- hkl 4 0 0, d = 1.910 Å, 2θ 47.6, rel. 16
- hkl 2 2 -4, d = 1.356 Å, 2θ 69.3, rel. 15
- hkl 5 1 -6, d = 1.158 Å, 2θ 83.5, rel. 12
- hkl 1 3 2, d = 1.155 Å, 2θ 83.8, rel. 12
- hkl 5 1 2, d = 1.153 Å, 2θ 84.0, rel. 12

Atomic structure:
Cell: 8.5508 3.8297 7.6885 Å, 90.00 116.69 90.00°
Space group C2/m (No. 12)
Asymmetric unit:
Cu: 0.0000 0.0000 0.0000 [2 per cell]
Ir: 0.0000 0.0000 0.5000 [2 per cell]
Rh: 0.0015 0.5000 0.7466 [4 per cell]
Rh: 0.2469 0.0000 0.3721 [4 per cell]
Rh: 0.2476 0.5000 0.1220 [4 per cell]